This entry pairs a crystal structure of Cs6Pm3Br14 with its computed X-ray diffraction stick pattern. Radiation: Cu Kα (weighted mean of Kα1 and Kα2). Structure: a GGA-PBE-relaxed structure.
Kinematic intensities with the Lorentz-polarization factor, no thermal factor.

Structural model:
Cell: 13.292 13.292 7.084 Å, 90.00 90.00 120.00°
Sites, in units of the cell vectors:
Cs (0.026, 0.569, 0.000)
Cs (0.306, 0.093, 0.528)
Cs (0.431, 0.456, 0.000)
Cs (0.544, 0.974, 0.000)
Cs (0.787, 0.694, 0.528)
Cs (0.907, 0.213, 0.528)
Pm (0.000, 0.000, 0.949)
Pm (0.333, 0.667, 0.427)
Pm (0.667, 0.333, 0.273)
Br (0.000, 0.000, 0.344)
Br (0.070, 0.848, 0.810)
Br (0.152, 0.222, 0.810)
Br (0.184, 0.443, 0.296)
Br (0.259, 0.816, 0.296)
Br (0.333, 0.667, 0.823)
Br (0.458, 0.196, 0.050)
Br (0.527, 0.403, 0.495)
Br (0.557, 0.741, 0.296)
Br (0.597, 0.124, 0.495)
Br (0.738, 0.542, 0.050)
Br (0.778, 0.930, 0.810)
Br (0.804, 0.262, 0.050)
Br (0.876, 0.473, 0.495)

Top 10 peaks for 2θ from 15° to 90°, by angle:
2θ = 19.88°, 4.467 Å, intensity 86
2θ = 24.00°, 3.707 Å, intensity 62
2θ = 26.39°, 3.377 Å, intensity 100
2θ = 26.83°, 3.323 Å, intensity 48
2θ = 27.95°, 3.193 Å, intensity 63
2θ = 29.63°, 3.015 Å, intensity 77
2θ = 30.72°, 2.911 Å, intensity 72
2θ = 32.60°, 2.747 Å, intensity 48
2θ = 37.97°, 2.370 Å, intensity 61
2θ = 43.58°, 2.077 Å, intensity 60


This entry pairs a crystal structure of Cs4PmBr6 with its computed X-ray diffraction stick pattern. Radiation: Cu Kα (weighted mean of Kα1 and Kα2). Structure: a GGA-PBE-relaxed structure.
Kinematic intensities with the Lorentz-polarization factor, no thermal factor.

Structural model:
Cell: 10.021 10.021 10.275 Å, 90.00 90.00 90.00°
Sites, in units of the cell vectors:
Cs (0.172, 0.328, 0.250)
Cs (0.172, 0.328, 0.750)
Cs (0.328, 0.828, 0.250)
Cs (0.328, 0.828, 0.750)
Cs (0.672, 0.172, 0.250)
Cs (0.672, 0.172, 0.750)
Cs (0.828, 0.672, 0.250)
Cs (0.828, 0.672, 0.750)
Pm (0.000, 0.000, 0.000)
Pm (0.500, 0.500, 0.500)
Br (0.000, 0.000, 0.284)
Br (0.000, 0.000, 0.716)
Br (0.092, 0.712, 0.000)
Br (0.212, 0.592, 0.500)
Br (0.288, 0.092, 0.000)
Br (0.408, 0.212, 0.500)
Br (0.500, 0.500, 0.216)
Br (0.500, 0.500, 0.784)
Br (0.592, 0.788, 0.500)
Br (0.712, 0.908, 0.000)
Br (0.788, 0.408, 0.500)
Br (0.908, 0.288, 0.000)

Top 10 peaks for 2θ from 15° to 90°, by angle:
2θ = 19.81°, 4.482 Å, intensity 11
2θ = 26.39°, 3.377 Å, intensity 100
2θ = 27.52°, 3.241 Å, intensity 16
2θ = 28.15°, 3.170 Å, intensity 61
2θ = 29.50°, 3.028 Å, intensity 12
2θ = 34.93°, 2.569 Å, intensity 22
2θ = 36.98°, 2.431 Å, intensity 14
2θ = 40.25°, 2.241 Å, intensity 15
2θ = 41.08°, 2.197 Å, intensity 13
2θ = 45.45°, 1.996 Å, intensity 25


This entry pairs a crystal structure of CsPm4Br12 with its computed X-ray diffraction stick pattern. Radiation: Cu Kα (weighted mean of Kα1 and Kα2). Structure: a GGA-PBE-relaxed structure.
Kinematic intensities with the Lorentz-polarization factor, no thermal factor.

Structural model:
Cell: 9.606 9.606 9.606 Å, 109.47 109.47 109.47°
Sites, in units of the cell vectors:
Cs (0.000, 0.000, 0.000)
Pm (0.000, 0.000, 0.500)
Pm (0.000, 0.500, 0.000)
Pm (0.500, 0.000, 0.000)
Pm (0.500, 0.500, 0.500)
Br (0.107, 0.812, 0.295)
Br (0.188, 0.295, 0.484)
Br (0.188, 0.705, 0.893)
Br (0.295, 0.107, 0.812)
Br (0.295, 0.484, 0.188)
Br (0.484, 0.188, 0.295)
Br (0.516, 0.812, 0.705)
Br (0.705, 0.516, 0.812)
Br (0.705, 0.893, 0.188)
Br (0.812, 0.295, 0.107)
Br (0.812, 0.705, 0.516)
Br (0.893, 0.188, 0.705)

Top 10 peaks for 2θ from 15° to 90°, by angle:
2θ = 15.98°, 5.546 Å, intensity 100
2θ = 22.67°, 3.922 Å, intensity 34
2θ = 25.39°, 3.508 Å, intensity 62
2θ = 30.15°, 2.965 Å, intensity 63
2θ = 32.28°, 2.773 Å, intensity 62
2θ = 36.22°, 2.480 Å, intensity 64
2θ = 39.81°, 2.264 Å, intensity 65
2θ = 47.81°, 1.902 Å, intensity 32
2θ = 50.74°, 1.799 Å, intensity 34
2θ = 72.28°, 1.307 Å, intensity 39